For NaZnMoO5, a structure optimized by DFT (GGA+U) gives the simulated powder X-ray diffraction pattern in this record (copper Kα).
Neutral-atom scattering factors, no anomalous dispersion.

Atomic structure:
Cell lengths 7.964, 9.414, 6.223 Å; angles 90.00, 90.00, 90.00 degrees
Space group Pna2_1 (No. 33)
Symmetry-distinct sites (fractional):
Na 0.140 0.186 0.000 x4
Zn 0.006 0.502 0.248 x4
Mo 0.122 0.827 0.996 x4
O 0.048 0.054 0.502 x4
O 0.107 0.721 0.755 x4
O 0.112 0.715 0.234 x4
O 0.118 0.432 0.994 x4
O 0.188 0.437 0.496 x4

Principal peaks in the range 5 to 70 degrees two-theta, in order of rising 2θ:
index, Position (°2θ), I (rel.)
0 1 1, 17.08, 986
2 1 0, 24.27, 566
1 2 1, 26.24, 513
2 0 1, 26.57, 930
1 3 0, 30.62, 861
1 1 2, 32.32, 1000
1 3 1, 33.92, 482
3 3 2, 53.99, 616

For Fe10O9F11, a structure optimized by DFT (GGA+U) gives the simulated powder X-ray diffraction pattern in this record (copper Kα).
Neutral-atom scattering factors, no anomalous dispersion.

Atomic structure:
Cell lengths 4.736, 4.738, 15.654 Å; angles 90.11, 90.30, 92.77 degrees
Space group P1 (No. 1)
Symmetry-distinct sites (fractional):
Fe 0.000 0.000 0.000 x1
Fe 0.000 0.004 0.417 x1
Fe 0.006 0.984 0.199 x1
Fe 0.030 0.978 0.605 x1
Fe 0.040 0.989 0.794 x1
Fe 0.505 0.440 0.911 x1
Fe 0.531 0.486 0.703 x1
Fe 0.534 0.471 0.496 x1
Fe 0.549 0.452 0.301 x1
Fe 0.579 0.480 0.105 x1
O 0.204 0.161 0.899 x1
O 0.225 0.182 0.508 x1
O 0.235 0.185 0.703 x1
O 0.715 0.285 0.001 x1
O 0.716 0.287 0.402 x1
O 0.722 0.295 0.205 x1
O 0.824 0.781 0.508 x1
O 0.829 0.780 0.705 x1
O 0.839 0.790 0.093 x1
F 0.217 0.174 0.310 x1
F 0.236 0.196 0.095 x1
F 0.325 0.676 0.400 x1
F 0.326 0.677 0.000 x1
F 0.332 0.667 0.805 x1
F 0.337 0.674 0.605 x1
F 0.338 0.674 0.205 x1
F 0.714 0.283 0.804 x1
F 0.722 0.289 0.606 x1
F 0.811 0.769 0.897 x1
F 0.824 0.786 0.312 x1

Principal peaks in the range 5 to 70 degrees two-theta, in order of rising 2θ:
index, Position (°2θ), I (rel.)
1 -1 0, 25.98, 1000
1 1 0, 27.29, 912
0 1 -5, 34.29, 502
1 0 5, 34.41, 515
-1 2 5, 51.37, 300
1 -2 5, 51.48, 310
1 2 -5, 52.79, 250
2 1 5, 53.04, 261

For Li9Mn2Co5O16, a structure optimized by DFT (GGA+U) gives the simulated powder X-ray diffraction pattern in this record (copper Kα).
Neutral-atom scattering factors, no anomalous dispersion.

Atomic structure:
Cell lengths 5.918, 7.704, 7.783 Å; angles 97.46, 112.31, 111.89 degrees
Space group P1 (No. 1)
Symmetry-distinct sites (fractional):
Li 0.000 0.000 0.000 x1
Li 0.000 0.249 0.747 x1
Li 0.009 0.629 0.878 x1
Li 0.009 0.879 0.627 x1
Li 0.501 0.998 0.996 x1
Li 0.989 0.371 0.116 x1
Li 0.991 0.122 0.365 x1
Li 0.997 0.751 0.244 x1
Li 0.999 0.501 0.500 x1
Mn 0.495 0.499 0.498 x1
Mn 0.504 0.877 0.625 x1
Co 0.494 0.244 0.754 x1
Co 0.496 0.373 0.118 x1
Co 0.501 0.760 0.241 x1
Co 0.502 0.125 0.363 x1
Co 0.504 0.633 0.879 x1
O 0.266 0.875 0.136 x1
O 0.267 0.504 0.003 x1
O 0.268 0.140 0.870 x1
O 0.268 0.267 0.264 x1
O 0.272 0.383 0.619 x1
O 0.279 0.998 0.505 x1
O 0.280 0.751 0.743 x1
O 0.281 0.636 0.394 x1
O 0.716 0.617 0.372 x1
O 0.718 0.376 0.614 x1
O 0.724 0.741 0.727 x1
O 0.726 0.256 0.251 x1
O 0.728 0.993 0.497 x1
O 0.731 0.109 0.848 x1
O 0.731 0.497 0.989 x1
O 0.740 0.862 0.121 x1

Principal peaks in the range 5 to 70 degrees two-theta, in order of rising 2θ:
index, Position (°2θ), I (rel.)
1 0 0, 18.25, 1000
-1 2 2, 35.65, 141
1 1 -3, 35.91, 139
1 -3 1, 36.24, 126
0 2 2, 43.12, 284
2 1 -3, 43.46, 274
2 -3 1, 43.79, 269
2 3 -1, 62.81, 148

For Li4Cr3FeO8, a structure optimized by DFT (GGA+U) gives the simulated powder X-ray diffraction pattern in this record (copper Kα).
Neutral-atom scattering factors, no anomalous dispersion.

Atomic structure:
Cell lengths 5.8789, 5.8789, 14.4669 Å; angles 90.00, 90.00, 120.00 degrees
Space group R-3m (No. 166, hexagonal axes)
Symmetry-distinct sites (fractional):
Li 0.0000 0.0000 0.0000 x3
Li 0.0000 0.5000 0.0000 x9
Cr 0.0000 0.5000 0.5000 x9
Fe 0.0000 0.0000 0.5000 x3
O 0.0000 0.0000 0.2421 x6
O 0.0036 0.5018 0.2415 x18

Principal peaks in the range 5 to 70 degrees two-theta, in order of rising 2θ:
index, Position (°2θ), I (rel.)
0 0 3, 18.40, 1000
0 2 1, 35.82, 400
0 2 4, 43.47, 793
2 0 5, 47.58, 125
0 2 7, 57.43, 138
2 0 8, 63.06, 207
2 2 0, 63.27, 216
2 2 3, 66.51, 135

For CeFeO3, a structure optimized by DFT (GGA+U) gives the simulated powder X-ray diffraction pattern in this record (copper Kα).
Neutral-atom scattering factors, no anomalous dispersion.

Atomic structure:
Cell lengths 3.934, 3.934, 3.934 Å; angles 90.00, 90.00, 90.00 degrees
Space group Pm-3m (No. 221)
Symmetry-distinct sites (fractional):
Ce 0.000 0.000 0.000 x1
Fe 0.500 0.500 0.500 x1
O 0.000 0.500 0.500 x3

Principal peaks in the range 5 to 70 degrees two-theta, in order of rising 2θ:
index, Position (°2θ), I (rel.)
1 0 0, 22.60, 136
1 1 0, 32.18, 1000
1 1 1, 39.69, 188
2 0 0, 46.15, 326
2 1 0, 51.98, 72
2 1 1, 57.38, 384
2 2 0, 67.33, 191